# 1
# PaTcB14
Calculated X-ray powder pattern, a wavelength of 1.5418 Å. Input: a DFT-relaxed cell (PBE, Alexandria).

Largest 6 diffraction maxima, by angle, 2θ = 10–80°:
hkl 0 2 0, 2θ = 16.26°, intensity 1000; hkl 1 2 1, 2θ = 24.80°, intensity 527; hkl 1 1 2, 2θ = 27.79°, intensity 645; hkl 2 1 1, 2θ = 33.48°, intensity 572; hkl 1 3 2, 2θ = 36.42°, intensity 422; hkl 2 3 1, 2θ = 41.05°, intensity 429

Atomic structure:
abc: 5.8653 10.9011 8.1971
angles: 90.00 90.00 90.00
Space group Imma (No. 74)
One atom of each set of equivalent atoms:
Pa 0.0000 0.2500 0.1243
Tc 0.2500 0.2500 0.7500
B 0.0000 0.0811 0.6722
B 0.0000 0.1224 0.8705
B 0.0000 0.1678 0.4646
B 0.1627 0.0644 0.3390
B 0.2456 0.0780 0.5495



# 2
# AlC2O2
Calculated X-ray powder pattern, a wavelength of 1.5418 Å. Input: a DFT-relaxed cell (PBE, Alexandria).

Largest 6 diffraction maxima, by angle, 2θ = 10–80°:
hkl 2 1 0, 2θ = 28.38°, intensity 1000; hkl 2 2 0, 2θ = 36.13°, intensity 342; hkl 3 1 0, 2θ = 40.57°, intensity 620; hkl 1 1 1, 2θ = 43.09°, intensity 388; hkl 2 2 1, 2θ = 54.12°, intensity 181; hkl 4 0 1, 2θ = 66.81°, intensity 216

Atomic structure:
abc: 7.0317 7.0317 2.3158
angles: 90.00 90.00 90.00
Space group P4/mbm (No. 127)
One atom of each set of equivalent atoms:
Al 0.0000 0.0000 0.0000
C 0.2054 0.2946 0.0000
O 0.1262 0.3738 0.5000